Record 1
The following is a theoretical powder XRD pattern of Mg3Si4O12. It was derived from a crystal structure in Alexandria, relaxed with PBE, using Cu Kα (λ = 1.5418 Å).
Intensities are scaled so that the largest is 100.

Structural model:
```
Mg3Si4O12
1.0
2.7234 -4.5975 0.0000
2.7234 4.5975 0.0000
-1.2669 0.0000 20.1490
Mg Si O
6 8 24
direct
0.0092 0.9908 0.5000
0.2566 0.6134 0.5005
0.3023 0.6328 0.0002
0.6134 0.2566 0.0005
0.6328 0.3023 0.5002
0.9908 0.0092 0.0000
0.0180 0.3344 0.1400
0.2513 0.2680 0.8604
0.2680 0.2513 0.3604
0.3344 0.0180 0.6400
0.3529 0.9977 0.1400
0.5862 0.9313 0.8605
0.9313 0.5862 0.3605
0.9977 0.3529 0.6400
0.0044 0.3166 0.0582
0.0907 0.9123 0.3346
0.0965 0.4150 0.3332
0.1693 0.1892 0.6672
0.1752 0.6918 0.6658
0.1892 0.1693 0.1672
0.1974 0.6721 0.1662
0.2689 0.2882 0.9424
0.2882 0.2689 0.4424
0.3166 0.0044 0.5582
0.3351 0.9774 0.0581
0.4065 0.5937 0.8342
0.4150 0.0965 0.8332
0.5937 0.4065 0.3342
0.5998 0.9492 0.9423
0.6234 0.8850 0.4686
0.6423 0.7188 0.5318
0.6721 0.1974 0.6662
0.6918 0.1752 0.1658
0.7188 0.6423 0.0318
0.8850 0.6234 0.9686
0.9123 0.0907 0.8346
0.9492 0.5998 0.4423
0.9774 0.3351 0.5581
```

Largest 10 diffraction maxima, sorted by position, 5 to 70 degrees two-theta:
d [Å]	I_rel
10.074	100.0
4.679	24.7
4.611	9.7
4.493	14.4
4.334	8.4
4.183	18.6
3.358	43.5
2.561	29.0
2.457	11.0
2.330	17.8

Record 2
The following is a theoretical powder XRD pattern of BaCu2AgBr6. It was derived from a crystal structure in Alexandria, relaxed with PBE, using Cu Kα (λ = 1.5418 Å).
Intensities are scaled so that the largest is 100.

Structural model:
```
BaCu2AgBr6
1.0
3.6208 2.0905 7.3877
-3.6208 2.0905 7.3877
0.0000 -4.1810 7.3877
Ba Cu Ag Br
1 2 1 6
direct
0.0000 0.0000 0.0000
0.2424 0.2424 0.2424
0.7576 0.7576 0.7576
0.5000 0.5000 0.5000
0.0940 0.7269 0.4470
0.2731 0.5530 0.9060
0.4470 0.0940 0.7269
0.5530 0.9060 0.2731
0.7269 0.4470 0.0940
0.9060 0.2731 0.5530
```

Largest 10 diffraction maxima, sorted by position, 5 to 70 degrees two-theta:
d [Å]	I_rel
4.152	87.4
3.694	18.8
3.251	100.0
2.729	19.4
2.586	39.8
2.534	20.9
2.179	29.5
2.090	58.7
2.036	23.3
1.384	25.8

Record 3
The following is a theoretical powder XRD pattern of ErScHgAu. It was derived from a crystal structure in Alexandria, relaxed with PBE, using Cu Kα (λ = 1.5418 Å).
Intensities are scaled so that the largest is 100.

Structural model:
```
ErScHgAu
1.0
3.5661 0.0000 0.0000
0.0000 3.5661 0.0000
0.0000 0.0000 7.0206
Er Sc Hg Au
1 1 1 1
direct
0.0000 0.0000 0.0000
0.0000 0.0000 0.5217
0.5000 0.5000 0.2786
0.5000 0.5000 0.7444
```

Largest 10 diffraction maxima, sorted by position, 5 to 70 degrees two-theta:
d [Å]	I_rel
3.566	12.1
3.510	5.4
3.179	14.0
2.522	53.0
2.502	100.0
1.783	18.9
1.755	7.7
1.715	5.7
1.452	37.2
1.441	16.2